[1]
Computed powder X-ray diffraction pattern
Compound: Rb3Na2Cd5
Radiation: CuKα
Structure: a cell relaxed with GGA-PBE
Intensities are scaled so that the largest is 100.

Structural model:
Cell lengths 10.8147, 25.6562, 6.7914 Å; angles 90.00, 128.91, 90.00 degrees
Space group C2/c (No. 15)
Asymmetric unit:
Rb 0.0000 0.9998 0.2500 (multiplicity 4)
Rb 0.1601 0.2816 0.1601 (multiplicity 8)
Na 0.1784 0.3996 0.6787 (multiplicity 8)
Cd 0.0000 0.1451 0.2500 (multiplicity 4)
Cd 0.0000 0.1452 0.7500 (multiplicity 4)
Cd 0.0000 0.5001 0.2500 (multiplicity 4)
Cd 0.1988 0.4222 0.1994 (multiplicity 8)

Peak list (6 most intense, 10 to 90 degrees two-theta, by intensity)
- 2θ 33.69, I 100, hkl 2 6 -2
- 2θ 33.92, I 87, hkl 0 0 2
- 2θ 29.79, I 83, hkl 2 6 0
- 2θ 18.15, I 61, hkl 0 2 1
- 2θ 14.77, I 45, hkl 1 3 0
- 2θ 26.53, I 44, hkl 1 7 0

=====

[2]
Computed powder X-ray diffraction pattern
Compound: Rb2CuGeO4
Radiation: CuKα
Structure: a cell relaxed with GGA-PBE
Intensities are scaled so that the largest is 100.

Structural model:
Cell lengths 5.2985, 12.3647, 19.6677 Å; angles 90.00, 90.00, 90.00 degrees
Space group Fddd (No. 70, origin choice 2)
Asymmetric unit:
Rb 0.1250 0.1250 0.3014 (multiplicity 16)
Cu 0.1250 0.1250 0.1250 (multiplicity 8)
Ge 0.1250 0.1250 0.6250 (multiplicity 8)
O 0.1008 0.2863 0.8354 (multiplicity 32)

Peak list (6 most intense, 10 to 90 degrees two-theta, by intensity)
- 2θ 30.88, I 100, hkl 0 2 6
- 2θ 22.75, I 57, hkl 1 1 3
- 2θ 36.91, I 55, hkl 2 2 0
- 2θ 30.68, I 52, hkl 1 3 3
- 2θ 28.88, I 47, hkl 0 4 0
- 2θ 53.44, I 41, hkl 2 4 6